Record 1
Cs3YO3: simulated XRD peak list (Cu Kα, 1.54184 Å), based on a GGA-PBE-relaxed structure.
Lines closer than 0.1° are merged.

Most intense lines, 2θ from 15° to 90°, in order of rising 2θ:
| two_theta | intensity |
| --- | --- |
| 24.7 | 11 |
| 25.7 | 9 |
| 26.2 | 29 |
| 27.0 | 100 |
| 27.3 | 39 |
| 31.6 | 34 |
| 32.2 | 11 |
| 34.4 | 14 |
| 42.8 | 12 |
| 47.7 | 12 |

Structure:
```
Cs3YO3
1.0
8.394 0.000 0.000
0.000 7.635 0.000
-1.169 0.000 12.182
Cs Y O
12 4 12
direct
0.056 0.118 0.156
0.056 0.382 0.656
0.349 0.161 0.924
0.349 0.339 0.424
0.381 0.679 0.806
0.381 0.821 0.306
0.619 0.179 0.694
0.619 0.321 0.194
0.651 0.661 0.576
0.651 0.839 0.076
0.944 0.618 0.344
0.944 0.882 0.844
0.158 0.586 0.068
0.158 0.914 0.568
0.842 0.086 0.432
0.842 0.414 0.932
0.101 0.056 0.411
0.101 0.444 0.911
0.246 0.655 0.544
0.246 0.845 0.044
0.299 0.056 0.692
0.299 0.444 0.192
0.701 0.556 0.808
0.701 0.944 0.308
0.754 0.155 0.956
0.754 0.345 0.456
0.899 0.556 0.089
0.899 0.944 0.589
```

***

Record 2
Br: simulated XRD peak list (Cu Kα, 1.54184 Å), based on a GGA-PBE-relaxed structure.
Lines closer than 0.1° are merged.

Most intense lines, 2θ from 15° to 90°, in order of rising 2θ:
| two_theta | intensity |
| --- | --- |
| 21.0 | 100 |
| 25.5 | 53 |
| 31.2 | 88 |
| 39.7 | 16 |
| 41.3 | 16 |
| 42.8 | 15 |
| 43.7 | 46 |
| 46.8 | 22 |
| 49.0 | 17 |
| 62.9 | 19 |

Structure:
```
Br
1.0
4.226 -2.129 0.000
4.226 2.129 0.000
0.000 0.000 8.744
Br
4
direct
0.142 0.858 0.882
0.358 0.642 0.382
0.642 0.358 0.618
0.858 0.142 0.118
```

***

Record 3
Ho2TiO5: simulated XRD peak list (Cu Kα, 1.54184 Å), based on a GGA-PBE-relaxed structure.
Lines closer than 0.1° are merged.

Most intense lines, 2θ from 15° to 90°, in order of rising 2θ:
| two_theta | intensity |
| --- | --- |
| 16.1 | 26 |
| 16.9 | 39 |
| 23.3 | 96 |
| 30.3 | 100 |
| 32.5 | 24 |
| 32.8 | 54 |
| 34.8 | 59 |
| 44.5 | 28 |
| 54.1 | 45 |
| 54.7 | 37 |

Structure:
```
Ho2TiO5
1.0
2.038 -5.503 0.000
2.038 5.503 0.000
0.000 0.000 10.495
Ho Ti O
4 2 10
direct
0.142 0.858 0.570
0.142 0.858 0.930
0.858 0.142 0.070
0.858 0.142 0.430
0.173 0.827 0.250
0.827 0.173 0.750
0.052 0.948 0.124
0.052 0.948 0.376
0.273 0.727 0.750
0.291 0.709 0.092
0.291 0.709 0.408
0.709 0.291 0.592
0.709 0.291 0.908
0.727 0.273 0.250
0.948 0.052 0.624
0.948 0.052 0.876
```

***

Record 4
MgZn3: simulated XRD peak list (Cu Kα, 1.54184 Å), based on a GGA-PBE-relaxed structure.
Lines closer than 0.1° are merged.

Most intense lines, 2θ from 15° to 90°, in order of rising 2θ:
| two_theta | intensity |
| --- | --- |
| 17.9 | 10 |
| 26.4 | 9 |
| 36.3 | 24 |
| 39.1 | 27 |
| 41.4 | 100 |
| 54.4 | 14 |
| 65.3 | 16 |
| 72.4 | 17 |
| 78.8 | 18 |
| 80.3 | 12 |

Structure:
```
MgZn3
1.0
5.716 0.000 0.000
-2.858 4.950 0.000
0.000 0.000 4.612
Mg Zn
2 6
direct
0.333 0.667 0.250
0.667 0.333 0.750
0.161 0.322 0.750
0.161 0.839 0.750
0.322 0.161 0.250
0.678 0.839 0.750
0.839 0.161 0.250
0.839 0.678 0.250
```

***

Record 5
CsTaP2O8: simulated XRD peak list (Cu Kα, 1.54184 Å), based on a GGA-PBE-relaxed structure.
Lines closer than 0.1° are merged.

Most intense lines, 2θ from 15° to 90°, in order of rising 2θ:
| two_theta | intensity |
| --- | --- |
| 19.6 | 82 |
| 19.7 | 38 |
| 20.1 | 52 |
| 27.5 | 100 |
| 28.3 | 50 |
| 29.1 | 27 |
| 33.9 | 22 |
| 34.9 | 41 |
| 39.5 | 31 |
| 44.1 | 30 |

Structure:
```
CsTaP2O8
1.0
4.423 -2.645 0.000
4.423 2.645 0.000
-0.516 0.000 9.002
Cs Ta P O
1 1 2 8
direct
0.000 0.000 0.000
0.000 0.000 0.500
0.355 0.355 0.692
0.645 0.645 0.308
0.209 0.209 0.585
0.212 0.685 0.646
0.315 0.788 0.354
0.324 0.324 0.852
0.676 0.676 0.148
0.685 0.212 0.646
0.788 0.315 0.354
0.791 0.791 0.415
```